Structure and theoretical powder XRD pattern of YTlCuIr (a DFT-relaxed cell (GGA-PBE, OQMD); CuKα).
Neutral-atom scattering factors, no anomalous dispersion.

Cell and atoms:
Lattice parameters (Å, degrees): 4.7750 4.7750 4.7750 60.00 60.00 60.00
Atoms (fractional coordinates):
Y1 0.0000 0.0000 0.0000
Tl1 0.5000 0.5000 0.5000
Cu1 0.7500 0.7500 0.7500
Ir1 0.2500 0.2500 0.2500

The 9 most intense peaks (2θ from 10° to 90°), low angle first:
| d/Å | 2theta | I (rel.) |
| --- | --- | --- |
| 3.899 | 22.81 | 20 |
| 2.387 | 37.68 | 100 |
| 2.036 | 44.50 | 11 |
| 1.688 | 54.34 | 17 |
| 1.549 | 59.69 | 5 |
| 1.378 | 68.01 | 35 |
| 1.300 | 72.77 | 4 |
| 1.194 | 80.45 | 11 |
| 1.141 | 84.97 | 4 |